Entry 1:
Starting from a cell relaxed with GGA-PBE, the X-ray diffraction stick pattern of Tb3PrRh4 was simulated for Cu Kα.

Largest 6 diffraction maxima, sorted by position, 2θ = 5–70°:
2θ (°), I/Imax
25.6, 8.2
36.5, 100.0
36.6, 99.6
52.7, 34.7
65.6, 17.4
65.9, 52.7

Structure:
a = 8.539 Å, b = 8.539 Å, c = 8.539 Å
α = 33.38°, β = 33.38°, γ = 33.38°
Element x y z (fractional)
1 Tb 0.000 0.000 0.000
2 Tb 0.252 0.252 0.252
3 Tb 0.748 0.748 0.748
4 Pr 0.500 0.500 0.500
5 Rh 0.122 0.122 0.122
6 Rh 0.373 0.373 0.373
7 Rh 0.627 0.627 0.627
8 Rh 0.878 0.878 0.878


Entry 2:
Starting from a cell relaxed with GGA-PBE, the X-ray diffraction stick pattern of Y3Si3Ir2 was simulated for Cu Kα.

Largest 6 diffraction maxima, sorted by position, 2θ = 5–70°:
2θ (°), I/Imax
19.1, 30.0
27.2, 34.2
34.0, 47.2
34.2, 32.6
38.8, 100.0
42.3, 33.6

Structure:
a = 7.965 Å, b = 13.926 Å, c = 5.705 Å
α = 90.00°, β = 90.00°, γ = 90.00°
Element x y z (fractional)
1 Y 0.046 0.114 0.123
2 Y 0.046 0.386 0.123
3 Y 0.195 0.250 0.628
4 Y 0.305 0.750 0.128
5 Y 0.454 0.614 0.623
6 Y 0.454 0.886 0.623
7 Y 0.546 0.114 0.377
8 Y 0.546 0.386 0.377
9 Y 0.695 0.250 0.872
10 Y 0.805 0.750 0.372
11 Y 0.954 0.614 0.877
12 Y 0.954 0.886 0.877
13 Si 0.157 0.750 0.596
14 Si 0.196 0.041 0.630
15 Si 0.196 0.459 0.630
16 Si 0.304 0.541 0.130
17 Si 0.304 0.959 0.130
18 Si 0.343 0.250 0.096
19 Si 0.657 0.750 0.904
20 Si 0.696 0.041 0.870
21 Si 0.696 0.459 0.870
22 Si 0.804 0.541 0.370
23 Si 0.804 0.959 0.370
24 Si 0.843 0.250 0.404
25 Ir 0.088 0.591 0.391
26 Ir 0.088 0.909 0.391
27 Ir 0.412 0.091 0.891
28 Ir 0.412 0.409 0.891
29 Ir 0.588 0.591 0.109
30 Ir 0.588 0.909 0.109
31 Ir 0.912 0.091 0.609
32 Ir 0.912 0.409 0.609


Entry 3:
Starting from a cell relaxed with GGA-PBE, the X-ray diffraction stick pattern of Zn2Ag7Au2 was simulated for Cu Kα.

Largest 6 diffraction maxima, sorted by position, 2θ = 5–70°:
2θ (°), I/Imax
37.4, 45.0
38.4, 26.9
38.8, 100.0
39.7, 16.7
40.2, 85.8
43.8, 17.5

Structure:
a = 15.079 Å, b = 15.079 Å, c = 5.731 Å
α = 90.00°, β = 90.00°, γ = 162.89°
Element x y z (fractional)
1 Zn 0.138 0.862 0.500
2 Zn 0.310 0.690 0.500
3 Zn 0.690 0.310 0.000
4 Zn 0.862 0.138 0.000
5 Ag 0.049 0.951 0.496
6 Ag 0.138 0.862 0.999
7 Ag 0.222 0.778 0.247
8 Ag 0.222 0.778 0.753
9 Ag 0.402 0.598 0.749
10 Ag 0.403 0.597 0.248
11 Ag 0.500 0.500 0.246
12 Ag 0.500 0.500 0.746
13 Ag 0.597 0.403 0.748
14 Ag 0.598 0.402 0.249
15 Ag 0.778 0.222 0.253
16 Ag 0.778 0.222 0.747
17 Ag 0.862 0.138 0.499
18 Ag 0.951 0.049 0.996
19 Au 0.045 0.955 0.996
20 Au 0.315 0.685 0.000
21 Au 0.685 0.315 0.500
22 Au 0.955 0.045 0.496


Entry 4:
Starting from a cell relaxed with GGA-PBE, the X-ray diffraction stick pattern of Nd2SmReN4 was simulated for Cu Kα.

Largest 6 diffraction maxima, sorted by position, 2θ = 5–70°:
2θ (°), I/Imax
29.5, 46.3
29.7, 57.7
30.3, 92.7
37.1, 100.0
42.4, 32.4
61.0, 27.5

Structure:
a = 6.272 Å, b = 6.272 Å, c = 12.101 Å
α = 90.00°, β = 90.00°, γ = 147.46°
Element x y z (fractional)
1 Nd 0.132 0.868 0.539
2 Nd 0.132 0.868 0.961
3 Nd 0.868 0.132 0.039
4 Nd 0.868 0.132 0.461
5 Sm 0.376 0.624 0.750
6 Sm 0.624 0.376 0.250
7 Re 0.354 0.646 0.250
8 Re 0.646 0.354 0.750
9 N 0.069 0.931 0.750
10 N 0.231 0.769 0.138
11 N 0.231 0.769 0.362
12 N 0.500 0.500 0.000
13 N 0.500 0.500 0.500
14 N 0.769 0.231 0.638
15 N 0.769 0.231 0.862
16 N 0.931 0.069 0.250


Entry 5:
Starting from a cell relaxed with GGA-PBE, the X-ray diffraction stick pattern of Nb6Ru5Rh was simulated for Cu Kα.

Largest 6 diffraction maxima, sorted by position, 2θ = 5–70°:
2θ (°), I/Imax
39.2, 100.0
41.7, 23.8
43.2, 16.9
51.4, 9.9
61.5, 11.5
68.2, 8.4

Structure:
a = 7.537 Å, b = 7.537 Å, c = 7.110 Å
α = 118.05°, β = 118.05°, γ = 33.43°
Element x y z (fractional)
1 Nb 0.028 0.028 0.272
2 Nb 0.318 0.318 0.568
3 Nb 0.343 0.343 0.089
4 Nb 0.657 0.657 0.911
5 Nb 0.682 0.682 0.432
6 Nb 0.972 0.972 0.728
7 Ru 0.163 0.163 0.698
8 Ru 0.168 0.168 0.134
9 Ru 0.500 0.500 0.000
10 Ru 0.832 0.832 0.866
11 Ru 0.837 0.837 0.302
12 Rh 0.500 0.500 0.500


Entry 6:
Starting from a cell relaxed with GGA-PBE, the X-ray diffraction stick pattern of La5SmY2Tm was simulated for Cu Kα.

Largest 6 diffraction maxima, sorted by position, 2θ = 5–70°:
2θ (°), I/Imax
26.2, 66.6
28.2, 43.7
31.6, 100.0
34.2, 15.3
39.2, 18.0
49.8, 21.6

Structure:
a = 9.757 Å, b = 9.757 Å, c = 9.757 Å
α = 120.97°, β = 120.97°, γ = 88.32°
Element x y z (fractional)
1 La 0.000 0.000 0.000
2 La 0.063 0.563 0.903
3 La 0.160 0.063 0.500
4 La 0.340 0.840 0.903
5 La 0.437 0.340 0.500
6 La 0.500 0.500 0.000
7 La 0.563 0.660 0.500
8 La 0.660 0.160 0.097
9 La 0.840 0.937 0.500
10 La 0.937 0.437 0.097
11 Sm 0.250 0.250 0.000
12 Sm 0.750 0.750 0.000
13 Y 0.108 0.392 0.500
14 Y 0.392 0.892 0.284
15 Y 0.608 0.108 0.716
16 Y 0.892 0.608 0.500
17 Tm 0.250 0.750 0.500
18 Tm 0.750 0.250 0.500